Calculated powder XRD pattern of Hf6MnPt2 for Cu Ka, from a PBE-relaxed structure.
Peak positions follow from Bragg's law for the DFT cell and can differ from measured ones.

The 10 most intense peaks (2θ from 10° to 90°), by angle:
two_theta	I (rel.)
34.76	26
35.05	100
35.54	24
35.83	26
36.83	40
37.23	26
38.22	53
39.28	25
54.08	21
65.88	20

Cell: 3.391 13.761 7.440 Å, 90.00 90.00 90.00°
Space group Amm2 (No. 38)
Asymmetric unit:
Hf: 0.000 0.000 0.000
Hf: 0.000 0.129 0.657
Hf: 0.500 0.000 0.361
Hf: 0.500 0.193 0.995
Mn: 0.500 0.000 0.736
Pt: 0.000 0.162 0.289